# 1
Starting from DFT lattice parameters and positions (GGA-PBE), the XRD peak list of K3Zn6Au5 was computed for copper Kα.
Lines closer than 0.1° are merged.

Peak list (6 most intense, 2θ from 10° to 90°, in order of falling intensity)
(2 0 0), 2θ = 39.94°, I = 100
(0 0 2), 2θ = 16.57°, I = 67
(1 3 2), 2θ = 32.78°, I = 66
(1 0 1), 2θ = 21.32°, I = 54
(1 3 4), 2θ = 44.26°, I = 48
(1 1 2), 2θ = 26.66°, I = 42

Crystal structure
a b c (Å): 4.5186 13.4052 10.7021
angles (deg): 90.00 90.00 90.00
Space group Pmmn (No. 59, origin choice 2)
Inequivalent atoms, fractional coordinates:
K1 0.2500 0.1008 0.2476 (multiplicity 4)
K2 0.2500 0.7500 0.2546 (multiplicity 2)
Zn1 0.2500 0.0520 0.9147 (multiplicity 4)
Zn2 0.2500 0.2500 0.5266 (multiplicity 2)
Zn3 0.2500 0.2500 0.9872 (multiplicity 2)
Zn4 0.2500 0.5699 0.4885 (multiplicity 4)
Au1 0.2500 0.0754 0.6580 (multiplicity 4)
Au2 0.2500 0.6369 0.9908 (multiplicity 4)
Au3 0.2500 0.7500 0.5867 (multiplicity 2)

=====

# 2
Starting from DFT lattice parameters and positions (GGA-PBE), the XRD peak list of K2Zn3Au4 was computed for copper Kα.
Lines closer than 0.1° are merged.

Peak list (6 most intense, 2θ from 10° to 90°, in order of falling intensity)
(1 1 1), 2θ = 16.91°, I = 100
(1 3 1), 2θ = 29.37°, I = 68
(1 3 7), 2θ = 38.21°, I = 67
(2 0 6), 2θ = 35.64°, I = 42
(0 0 12), 2θ = 42.03°, I = 37
(1 3 5), 2θ = 34.04°, I = 36

Crystal structure
a b c (Å): 6.2147 10.5577 25.8066
angles (deg): 90.00 90.00 90.00
Space group Fddd (No. 70, origin choice 2)
Inequivalent atoms, fractional coordinates:
K1 0.1250 0.1250 0.0477 (multiplicity 16)
Zn1 0.1250 0.1250 0.3625 (multiplicity 16)
Zn2 0.1250 0.1250 0.6250 (multiplicity 8)
Au1 0.0648 0.2908 0.6997 (multiplicity 32)

=====

# 3
Starting from DFT lattice parameters and positions (GGA-PBE), the XRD peak list of K4Zn2Au5 was computed for copper Kα.
Lines closer than 0.1° are merged.

Peak list (6 most intense, 2θ from 10° to 90°, in order of falling intensity)
(2 4 2), 2θ = 40.73°, I = 100
(1 3 0), 2θ = 15.17°, I = 84
(1 6 1), 2θ = 30.60°, I = 59
(3 2 1), 2θ = 33.07°, I = 57
(2 2 0), 2θ = 20.05°, I = 43
(4 3 1), 2θ = 42.54°, I = 35

Crystal structure
a b c (Å): 9.6785 21.9801 5.5915
angles (deg): 90.00 90.00 90.00
Space group Ibam (No. 72)
Inequivalent atoms, fractional coordinates:
K1 0.1096 0.1417 0.0000 (multiplicity 8)
K2 0.2077 0.4480 0.0000 (multiplicity 8)
Zn1 0.0000 0.2802 0.2500 (multiplicity 8)
Au1 0.0000 0.0000 0.2500 (multiplicity 4)
Au2 0.0668 0.3810 0.5000 (multiplicity 8)
Au3 0.2143 0.2373 0.5000 (multiplicity 8)

=====

# 4
Starting from DFT lattice parameters and positions (GGA-PBE), the XRD peak list of KZn12Au6 was computed for copper Kα.
Lines closer than 0.1° are merged.

Peak list (6 most intense, 2θ from 10° to 90°, in order of falling intensity)
(3 2 1), 2θ = 40.25°, I = 100
(0 3 3), 2θ = 39.93°, I = 83
(0 2 4), 2θ = 43.44°, I = 65
(2 0 2), 2θ = 26.31°, I = 57
(1 1 0), 2θ = 15.24°, I = 53
(2 1 1), 2θ = 25.34°, I = 52

Crystal structure
a b c (Å): 11.6311 11.6311 9.1528
angles (deg): 90.00 90.00 120.00
Space group R-3m (No. 166, hexagonal axes)
Inequivalent atoms, fractional coordinates:
K1 0.0000 0.0000 0.0000 (multiplicity 3)
Zn1 0.0000 0.3887 0.5000 (multiplicity 18)
Zn2 0.0949 0.1898 0.3042 (multiplicity 18)
Au1 0.0565 0.5283 0.2518 (multiplicity 18)

=====

# 5
Starting from DFT lattice parameters and positions (GGA-PBE), the XRD peak list of KZn5Au7 was computed for copper Kα.
Lines closer than 0.1° are merged.

Peak list (6 most intense, 2θ from 10° to 90°, in order of falling intensity)
(2 2 2), 2θ = 43.24°, I = 100
(2 0 0), 2θ = 33.08°, I = 70
(1 3 2), 2θ = 38.53°, I = 58
(1 1 4), 2θ = 43.60°, I = 40
(1 2 3), 2θ = 38.68°, I = 35
(0 2 2), 2θ = 27.08°, I = 33

Crystal structure
a b c (Å): 5.4198 9.3657 9.2620
angles (deg): 90.00 90.00 90.00
Space group Imm2 (No. 44)
Inequivalent atoms, fractional coordinates:
K1 0.0000 0.0000 0.0000 (multiplicity 2)
Zn1 0.0000 0.5000 0.7327 (multiplicity 2)
Zn2 0.2475 0.2505 0.2613 (multiplicity 8)
Au1 0.0000 0.0000 0.3378 (multiplicity 2)
Au2 0.0000 0.0000 0.6550 (multiplicity 2)
Au3 0.0000 0.2922 0.5179 (multiplicity 4)
Au4 0.0000 0.3445 0.9999 (multiplicity 4)
Au5 0.0000 0.5000 0.2812 (multiplicity 2)

=====

# 6
Starting from DFT lattice parameters and positions (GGA-PBE), the XRD peak list of KZr3Au was computed for copper Kα.
Lines closer than 0.1° are merged.

Peak list (6 most intense, 2θ from 10° to 90°, in order of falling intensity)
(1 0 0), 2θ = 16.58°, I = 100
(2 0 0), 2θ = 33.51°, I = 80
(2 2 0), 2θ = 48.12°, I = 57
(2 1 0), 2θ = 37.61°, I = 55
(1 1 0), 2θ = 23.52°, I = 30
(3 0 0), 2θ = 51.24°, I = 29

Crystal structure
a b c (Å): 5.3483 5.3483 5.3483
angles (deg): 90.00 90.00 90.00
Space group Pm-3m (No. 221)
Inequivalent atoms, fractional coordinates:
K1 0.0000 0.0000 0.0000 (multiplicity 1)
Zr1 0.0000 0.5000 0.5000 (multiplicity 3)
Au1 0.5000 0.5000 0.5000 (multiplicity 1)

=====

# 7
Starting from DFT lattice parameters and positions (GGA-PBE), the XRD peak list of La3Au was computed for copper Kα.
Lines closer than 0.1° are merged.

Peak list (6 most intense, 2θ from 10° to 90°, in order of falling intensity)
(1 1 1), 2θ = 32.88°, I = 100
(0 2 0), 2θ = 31.78°, I = 29
(0 0 2), 2θ = 31.27°, I = 24
(1 3 1), 2θ = 57.32°, I = 21
(0 2 2), 2θ = 45.18°, I = 18
(1 1 3), 2θ = 56.68°, I = 14

Crystal structure
a b c (Å): 3.7096 5.6312 5.7218
angles (deg): 90.00 90.00 90.00
Space group Pmm2 (No. 25)
Inequivalent atoms, fractional coordinates:
La1 0.0000 0.0000 0.0000 (multiplicity 1)
La2 0.0000 0.5000 0.4609 (multiplicity 1)
La3 0.5000 0.5000 0.9168 (multiplicity 1)
Au1 0.5000 0.0000 0.5075 (multiplicity 1)

=====

# 8
Starting from DFT lattice parameters and positions (GGA-PBE), the XRD peak list of La5Au was computed for copper Kα.
Lines closer than 0.1° are merged.

Peak list (6 most intense, 2θ from 10° to 90°, in order of falling intensity)
(1 1 1), 2θ = 33.08°, I = 100
(0 0 2), 2θ = 31.33°, I = 26
(1 1 0), 2θ = 29.03°, I = 24
(1 1 3), 2θ = 56.89°, I = 21
(3 0 2), 2θ = 61.50°, I = 21
(3 0 0), 2θ = 51.46°, I = 18

Crystal structure
a b c (Å): 6.1509 6.1509 5.7101
angles (deg): 90.00 90.00 120.00
Space group P-62m (No. 189)
Inequivalent atoms, fractional coordinates:
La1 0.0000 0.6950 0.0000 (multiplicity 3)
La2 0.3333 0.6667 0.5000 (multiplicity 2)
Au1 0.0000 0.0000 0.5000 (multiplicity 1)

=====

# 9
Starting from DFT lattice parameters and positions (GGA-PBE), the XRD peak list of LaAu4 was computed for copper Kα.
Lines closer than 0.1° are merged.

Peak list (6 most intense, 2θ from 10° to 90°, in order of falling intensity)
(1 1 0), 2θ = 36.00°, I = 100
(0 1 5), 2θ = 36.18°, I = 87
(1 2 5), 2θ = 64.83°, I = 32
(2 0 5), 2θ = 51.96°, I = 31
(3 0 0), 2θ = 64.72°, I = 18
(3 1 5), 2θ = 87.52°, I = 15

Crystal structure
a b c (Å): 4.9895 4.9895 15.1693
angles (deg): 90.00 90.00 120.00
Space group R-3m (No. 166, hexagonal axes)
Inequivalent atoms, fractional coordinates:
La1 0.0000 0.0000 0.0000 (multiplicity 3)
Au1 0.0000 0.0000 0.2138 (multiplicity 6)
Au2 0.0000 0.0000 0.4103 (multiplicity 6)

=====

# 10
Starting from DFT lattice parameters and positions (GGA-PBE), the XRD peak list of La5Au was computed for copper Kα.
Lines closer than 0.1° are merged.

Peak list (6 most intense, 2θ from 10° to 90°, in order of falling intensity)
(1 0 3), 2θ = 30.45°, I = 100
(1 1 0), 2θ = 33.38°, I = 47
(2 1 3), 2θ = 57.84°, I = 36
(2 0 0), 2θ = 47.92°, I = 17
(1 1 6), 2θ = 52.17°, I = 13
(1 0 4), 2θ = 35.02°, I = 10

Crystal structure
a b c (Å): 3.7966 3.7966 13.8903
angles (deg): 90.00 90.00 90.00
Space group P4/mmm (No. 123)
Inequivalent atoms, fractional coordinates:
La1 0.0000 0.0000 0.0000 (multiplicity 1)
La2 0.0000 0.0000 0.3683 (multiplicity 2)
La3 0.5000 0.5000 0.1844 (multiplicity 2)
Au1 0.5000 0.5000 0.5000 (multiplicity 1)

=====

# 11
Starting from DFT lattice parameters and positions (GGA-PBE), the XRD peak list of LaAu2 was computed for copper Kα.
Lines closer than 0.1° are merged.

Peak list (6 most intense, 2θ from 10° to 90°, in order of falling intensity)
(1 2 1), 2θ = 32.47°, I = 100
(1 0 3), 2θ = 37.61°, I = 88
(0 2 2), 2θ = 32.71°, I = 51
(2 0 0), 2θ = 36.97°, I = 47
(1 4 3), 2θ = 64.03°, I = 33
(2 2 2), 2θ = 50.18°, I = 31

Crystal structure
a b c (Å): 4.8627 7.3266 8.2395
angles (deg): 90.00 90.00 90.00
Space group Imma (No. 74)
Inequivalent atoms, fractional coordinates:
La1 0.0000 0.2500 0.0139 (multiplicity 4)
Au1 0.0000 0.0158 0.6680 (multiplicity 8)

=====

# 12
Starting from DFT lattice parameters and positions (GGA-PBE), the XRD peak list of La3Au was computed for copper Kα.
Lines closer than 0.1° are merged.

Peak list (6 most intense, 2θ from 10° to 90°, in order of falling intensity)
(2 3 1), 2θ = 29.20°, I = 100
(4 1 1), 2θ = 32.59°, I = 98
(2 2 2), 2θ = 34.31°, I = 93
(1 1 2), 2θ = 29.36°, I = 85
(3 3 0), 2θ = 30.32°, I = 85
(2 4 0), 2θ = 32.00°, I = 47

Crystal structure
a b c (Å): 12.5086 12.5086 6.4803
angles (deg): 90.00 90.00 90.00
Space group I-4 (No. 82)
Inequivalent atoms, fractional coordinates:
La1 0.0012 0.3585 0.4989 (multiplicity 8)
La2 0.0978 0.9003 0.2527 (multiplicity 8)
La3 0.2036 0.7935 0.7450 (multiplicity 8)
Au1 0.0021 0.2936 0.9989 (multiplicity 8)